This entry pairs a crystal structure of YCrF5 with its calculated X-ray powder pattern. Radiation: CuKα. Structure: a structure optimized by DFT (PBE+U).

Atomic structure:
a = 5.7383 Å, b = 10.5897 Å, c = 8.5512 Å
α = 90.00°, β = 105.44°, γ = 90.00°
Positions (direct):
Y1 0.0734 0.2417 0.3588
Y2 0.0734 0.2583 0.8588
Y3 0.9266 0.7417 0.1412
Y4 0.9266 0.7583 0.6412
Cr1 0.4947 0.5027 0.7063
Cr2 0.4947 0.9973 0.2063
Cr3 0.5053 0.0027 0.7937
Cr4 0.5053 0.4973 0.2937
F1 0.1132 0.2035 0.6169
F2 0.1132 0.2965 0.1169
F3 0.2057 0.6024 0.2316
F4 0.2057 0.8976 0.7316
F5 0.2106 0.6190 0.6573
F6 0.2106 0.8810 0.1573
F7 0.3483 0.1000 0.3528
F8 0.3483 0.4000 0.8528
F9 0.3533 0.1078 0.9420
F10 0.3533 0.3922 0.4420
F11 0.6467 0.6078 0.5580
F12 0.6467 0.8922 0.0580
F13 0.6517 0.6000 0.1472
F14 0.6517 0.9000 0.6472
F15 0.7894 0.1190 0.8427
F16 0.7894 0.3810 0.3427
F17 0.7943 0.1024 0.2684
F18 0.7943 0.3976 0.7684
F19 0.8868 0.7035 0.8831
F20 0.8868 0.7965 0.3831

Principal peaks in the range 2θ = 15–90°, low angle first:
| 2θ/deg | Rel. int. |
| --- | --- |
| 18.1 | 12 |
| 21.6 | 11 |
| 23.2 | 100 |
| 24.7 | 12 |
| 28.8 | 11 |
| 39.8 | 9 |
| 41.5 | 11 |
| 47.4 | 9 |
| 47.5 | 9 |
| 48.7 | 11 |
| 54.6 | 10 |
| 65.7 | 6 |